For TaNbBi, a crystal structure in Alexandria, relaxed with PBE gives the computed powder XRD pattern in this record (Cu Kα, 1.54184 Å).
No peak broadening, texture or thermal motion is included.

The 10 most intense peaks (5 to 70 degrees two-theta), in order of rising 2θ:
hkl 0 2 0, 11.239 Å, rel. 49; hkl 0 2 1, 3.963 Å, rel. 44; hkl 1 1 0, 2.978 Å, rel. 34; hkl 0 6 1, 2.807 Å, rel. 100; hkl 1 5 0, 2.498 Å, rel. 68; hkl 1 1 1, 2.436 Å, rel. 91; hkl 0 8 1, 2.341 Å, rel. 67; hkl 0 0 2, 2.118 Å, rel. 44; hkl 1 7 1, 1.948 Å, rel. 55; hkl 1 5 2, 1.615 Å, rel. 36

Atomic structure:
```
data_TaNbBi
_cell_length_a 3.0044
_cell_length_b 22.4771
_cell_length_c 4.2351
_cell_angle_alpha 90.00
_cell_angle_beta 90.00
_cell_angle_gamma 90.00
_symmetry_space_group_name_H-M 'C m c m'
_symmetry_Int_Tables_number 63
_symmetry_space_group_name_Hall '-C 2c 2'
loop_
_atom_site_label
_atom_site_type_symbol
_atom_site_fract_x
_atom_site_fract_y
_atom_site_fract_z
Ta1 Ta 0.0000 0.0361 0.2500
Nb1 Nb 0.0000 0.4036 0.2500
Bi1 Bi 0.0000 0.1783 0.2500
```